This entry pairs a crystal structure of InSnBrCl4 with its calculated powder diffraction line list. Radiation: Cu Kα. Structure: a cell relaxed with GGA-PBE.
No peak broadening, texture or thermal motion is included.

Main lines, in order of falling intensity (2θ from 5° to 70°):
hkl 0 2 0, 18.9°, I 100
hkl 2 0 -1, 14.2°, I 57
hkl 0 0 1, 10.0°, I 51
hkl 1 1 3, 35.2°, I 46
hkl 2 2 -1, 23.7°, I 42
hkl 0 0 2, 20.1°, I 34
hkl 0 4 0, 38.3°, I 25
hkl 4 0 1, 34.2°, I 23

Structural model:
```
data_InSnBrCl4
_chemical_formula_sum 'In4 Sn4 Br4 Cl16'
_symmetry_space_group_name_H-M 'C 1 2/m 1'
_symmetry_Int_Tables_number 12
_symmetry_space_group_name_Hall '-C 2y'
_cell_length_a 13.274
_cell_length_b 9.407
_cell_length_c 9.491
_cell_angle_alpha 90.00
_cell_angle_beta 111.72
_cell_angle_gamma 90.00
loop_
_atom_site_label
_atom_site_type_symbol
_atom_site_fract_x
_atom_site_fract_y
_atom_site_fract_z
In1 In 0.140 0.000 0.265
Sn1 Sn 0.168 0.500 0.127
Br1 Br 0.016 0.500 0.812
Cl1 Cl 0.051 0.000 0.819
Cl2 Cl 0.215 0.199 0.172
Cl3 Cl 0.219 0.000 0.536
```

=====

This entry pairs a crystal structure of SrIn2Br2Cl2 with its calculated powder diffraction line list. Radiation: Cu Kα. Structure: a cell relaxed with GGA-PBE.
No peak broadening, texture or thermal motion is included.

Main lines, in order of falling intensity (2θ from 5° to 70°):
hkl 3 1 1, 33.3°, I 100
hkl 2 0 -2, 21.9°, I 88
hkl 1 1 -2, 30.2°, I 84
hkl 1 1 0, 21.4°, I 81
hkl 3 1 0, 27.9°, I 79
hkl 4 0 1, 31.9°, I 68
hkl 1 1 3, 44.5°, I 64
hkl 5 1 -1, 35.5°, I 62

Structural model:
```
data_SrIn2Br2Cl2
_chemical_formula_sum 'Sr2 In4 Br4 Cl4'
_symmetry_space_group_name_H-M 'C 1 2/m 1'
_symmetry_Int_Tables_number 12
_symmetry_space_group_name_Hall '-C 2y'
_cell_length_a 15.598
_cell_length_b 4.337
_cell_length_c 8.202
_cell_angle_alpha 90.00
_cell_angle_beta 114.10
_cell_angle_gamma 90.00
loop_
_atom_site_label
_atom_site_type_symbol
_atom_site_fract_x
_atom_site_fract_y
_atom_site_fract_z
Sr1 Sr 0.000 0.000 0.000
In1 In 0.134 0.000 0.575
Br1 Br 0.210 0.000 0.263
Cl1 Cl 0.022 0.500 0.783
```

=====

This entry pairs a crystal structure of TlIn2Br2Cl with its calculated powder diffraction line list. Radiation: Cu Kα. Structure: a cell relaxed with GGA-PBE.
No peak broadening, texture or thermal motion is included.

Main lines, in order of falling intensity (2θ from 5° to 70°):
hkl 0 2 0, 26.9°, I 100
hkl 0 2 2, 38.4°, I 77
hkl 0 4 2, 62.7°, I 35
hkl 6 2 2, 47.6°, I 27
hkl 6 4 2, 69.5°, I 26
hkl 3 1 1, 23.3°, I 25
hkl 3 3 1, 45.4°, I 13
hkl 0 4 0, 55.5°, I 13

Structural model:
```
data_TlIn2Br2Cl
_chemical_formula_sum 'Tl4 In8 Br8 Cl4'
_symmetry_space_group_name_H-M 'C m c 21'
_symmetry_Int_Tables_number 36
_symmetry_space_group_name_Hall 'C 2c -2'
_cell_length_a 19.869
_cell_length_b 6.624
_cell_length_c 6.624
_cell_angle_alpha 90.00
_cell_angle_beta 90.00
_cell_angle_gamma 90.00
loop_
_atom_site_label
_atom_site_type_symbol
_atom_site_fract_x
_atom_site_fract_y
_atom_site_fract_z
Tl1 Tl 0.000 0.249 0.000
In1 In 0.163 0.250 0.495
Br1 Br 0.169 0.250 0.994
Cl1 Cl 0.000 0.252 0.503
```

=====

This entry pairs a crystal structure of Ir2Br3Cl4 with its calculated powder diffraction line list. Radiation: Cu Kα. Structure: a cell relaxed with GGA-PBE.
No peak broadening, texture or thermal motion is included.

Main lines, in order of falling intensity (2θ from 5° to 70°):
hkl 1 1 0, 10.5°, I 100
hkl 3 1 -1, 22.3°, I 42
hkl 0 2 1, 21.0°, I 42
hkl 1 1 -1, 15.4°, I 38
hkl 1 3 -1, 26.4°, I 33
hkl 2 0 0, 14.7°, I 30
hkl 4 4 -2, 44.9°, I 28
hkl 1 1 -2, 28.2°, I 23

Structural model:
```
data_Ir2Br3Cl4
_chemical_formula_sum 'Ir8 Br12 Cl16'
_symmetry_space_group_name_H-M 'C 1 2/c 1'
_symmetry_Int_Tables_number 15
_symmetry_space_group_name_Hall '-C 2yc'
_cell_length_a 13.204
_cell_length_b 11.745
_cell_length_c 6.656
_cell_angle_alpha 90.00
_cell_angle_beta 114.08
_cell_angle_gamma 90.00
loop_
_atom_site_label
_atom_site_type_symbol
_atom_site_fract_x
_atom_site_fract_y
_atom_site_fract_z
Ir1 Ir 0.178 0.123 0.356
Br1 Br 0.000 0.022 0.250
Br2 Br 0.121 0.221 0.006
Cl1 Cl 0.141 0.290 0.514
Cl2 Cl 0.250 0.032 0.723
```

=====

This entry pairs a crystal structure of IrBr2Cl6 with its calculated powder diffraction line list. Radiation: Cu Kα. Structure: a cell relaxed with GGA-PBE.
No peak broadening, texture or thermal motion is included.

Main lines, in order of falling intensity (2θ from 5° to 70°):
hkl 3 1 0, 19.4°, I 100
hkl 0 2 0, 13.8°, I 64
hkl 1 1 0, 9.2°, I 59
hkl 2 0 0, 12.1°, I 43
hkl 0 2 1, 19.3°, I 28
hkl 3 3 1, 31.0°, I 25
hkl 3 1 -2, 33.1°, I 24
hkl 1 7 0, 50.2°, I 19

Structural model:
```
data_IrBr2Cl6
_chemical_formula_sum 'Ir4 Br8 Cl24'
_symmetry_space_group_name_H-M 'C 1 2/c 1'
_symmetry_Int_Tables_number 15
_symmetry_space_group_name_Hall '-C 2yc'
_cell_length_a 14.683
_cell_length_b 12.804
_cell_length_c 6.630
_cell_angle_alpha 90.00
_cell_angle_beta 90.98
_cell_angle_gamma 90.00
loop_
_atom_site_label
_atom_site_type_symbol
_atom_site_fract_x
_atom_site_fract_y
_atom_site_fract_z
Ir1 Ir 0.000 0.066 0.250
Br1 Br 0.144 0.499 0.670
Cl1 Cl 0.082 0.067 0.938
Cl2 Cl 0.096 0.186 0.388
Cl3 Cl 0.143 0.365 0.917
```

=====

This entry pairs a crystal structure of K8Br4Cl3 with its calculated powder diffraction line list. Radiation: Cu Kα. Structure: a cell relaxed with GGA-PBE.
No peak broadening, texture or thermal motion is included.

Main lines, in order of falling intensity (2θ from 5° to 70°):
hkl 0 4 0, 27.1°, I 100
hkl 4 0 0, 38.7°, I 72
hkl 4 0 2, 63.2°, I 30
hkl 4 4 0, 47.9°, I 25
hkl 1 1 -1, 11.7°, I 13
hkl 0 8 0, 55.9°, I 11
hkl 1 1 1, 22.4°, I 10
hkl 2 0 -1, 13.5°, I 6

Structural model:
```
data_K8Br4Cl3
_chemical_formula_sum 'K16 Br8 Cl6'
_symmetry_space_group_name_H-M 'C 1 2/m 1'
_symmetry_Int_Tables_number 12
_symmetry_space_group_name_Hall '-C 2y'
_cell_length_a 13.157
_cell_length_b 13.161
_cell_length_c 9.299
_cell_angle_alpha 90.00
_cell_angle_beta 134.97
_cell_angle_gamma 90.00
loop_
_atom_site_label
_atom_site_type_symbol
_atom_site_fract_x
_atom_site_fract_y
_atom_site_fract_z
K1 K 0.000 0.246 0.000
K2 K 0.000 0.251 0.500
K3 K 0.247 0.000 0.002
K4 K 0.247 0.000 0.492
Br1 Br 0.000 0.000 0.500
Br2 Br 0.000 0.500 0.000
Br3 Br 0.250 0.250 0.500
Cl1 Cl 0.000 0.000 0.000
Cl2 Cl 0.250 0.250 0.000
```